# PrBe4Te3O12
Calculated XRD peak list, Cu Ka. Input: a DFT-relaxed cell (PBE, Alexandria).
No peak broadening, texture or thermal motion is included.

Largest 12 diffraction maxima, sorted by position, 2θ = 5–70°:
2θ (°), Rel. int., (hkl)
17.05, 20, 1 1 0
22.60, 100, 0 2 1
28.45, 16, 2 1 1
29.68, 82, 2 0 2
34.49, 29, 2 2 0
41.64, 16, 4 0 1
42.53, 23, 3 1 2
46.16, 17, 0 4 2
48.64, 29, 2 2 3
49.38, 18, 0 2 4
55.15, 8, 2 4 1
58.12, 17, 5 1 1

Atomic structure:
```
data_PrBe4Te3O12
_cell_length_a 10.3985
_cell_length_b 10.3985
_cell_length_c 8.0935
_cell_angle_alpha 90.00
_cell_angle_beta 90.00
_cell_angle_gamma 120.00
_symmetry_space_group_name_H-M 'R 3 2'
_symmetry_Int_Tables_number 155
_symmetry_space_group_name_Hall 'R 3 2"'
loop_
_atom_site_label
_atom_site_type_symbol
_atom_site_fract_x
_atom_site_fract_y
_atom_site_fract_z
_atom_site_occupancy
Pr1 Pr 0.0000 0.0000 0.0000 1
Be1 Be 0.0000 0.0000 0.5000 1
Be2 Be 0.0000 0.4496 0.5000 1
Te1 Te 0.0000 0.5445 0.0000 1
O1 O 0.0000 0.6000 0.5000 1
O2 O 0.0000 0.8512 0.5000 1
O3 O 0.0250 0.2034 0.1800 1
```